This entry pairs a crystal structure of MgH12C4S4O6 with its calculated X-ray powder pattern. Radiation: CuKα. Structure: a PBE-relaxed structure.
Intensities are scaled so that the largest is 1000.

Cell and atoms:
Cell lengths 17.5006, 5.9127, 13.4645 Å; angles 90.00, 103.76, 90.00 degrees
Space group C2/c (No. 15)
Asymmetric unit:
Mg 0.0000 0.0894 0.2500 (multiplicity 4)
H 0.0683 0.0296 0.9463 (multiplicity 8)
H 0.0721 0.3286 0.7302 (multiplicity 8)
H 0.0815 0.2396 0.4420 (multiplicity 8)
H 0.0925 0.3280 0.1579 (multiplicity 8)
H 0.1203 0.1311 0.6928 (multiplicity 8)
H 0.1350 0.3413 0.2767 (multiplicity 8)
C 0.1946 0.3078 0.0006 (multiplicity 8)
C 0.2462 0.1301 0.0551 (multiplicity 8)
S 0.1048 0.3979 0.0015 (multiplicity 8)
S 0.2406 0.0619 0.6427 (multiplicity 8)
O 0.0521 0.1083 0.4060 (multiplicity 8)
O 0.0738 0.1642 0.7196 (multiplicity 8)
O 0.0822 0.3376 0.2277 (multiplicity 8)

Principal peaks in the range 15° ≤ 2θ ≤ 90°, in order of falling intensity:
two_theta  I_rel
21.72  1000
31.58  610
30.29  589
17.75  401
32.25  365
27.64  346
23.59  316
26.91  276


This entry pairs a crystal structure of YMg14SiO16 with its calculated X-ray powder pattern. Radiation: CuKα. Structure: a PBE-relaxed structure.
Intensities are scaled so that the largest is 1000.

Cell and atoms:
Cell lengths 4.3812, 8.7799, 8.7843 Å; angles 90.00, 90.00, 90.00 degrees
Space group Pmmm (No. 47)
Asymmetric unit:
Y 0.0000 0.0000 0.0000 (multiplicity 1)
Mg 0.0000 0.0000 0.5000 (multiplicity 1)
Mg 0.0000 0.2571 0.2594 (multiplicity 4)
Mg 0.0000 0.5000 0.5000 (multiplicity 1)
Mg 0.5000 0.0000 0.2638 (multiplicity 2)
Mg 0.5000 0.2529 0.5000 (multiplicity 2)
Mg 0.5000 0.2618 0.0000 (multiplicity 2)
Mg 0.5000 0.5000 0.2560 (multiplicity 2)
Si 0.0000 0.5000 0.0000 (multiplicity 1)
O 0.0000 0.0000 0.2594 (multiplicity 2)
O 0.0000 0.2485 0.5000 (multiplicity 2)
O 0.0000 0.2517 0.0000 (multiplicity 2)
O 0.0000 0.5000 0.2664 (multiplicity 2)
O 0.5000 0.0000 0.0000 (multiplicity 1)
O 0.5000 0.0000 0.5000 (multiplicity 1)
O 0.5000 0.2509 0.2468 (multiplicity 4)
O 0.5000 0.5000 0.0000 (multiplicity 1)
O 0.5000 0.5000 0.5000 (multiplicity 1)

Principal peaks in the range 15° ≤ 2θ ≤ 90°, in order of falling intensity:
two_theta  I_rel
41.11  1000
59.60  860
41.21  506
35.43  260
74.98  258
22.66  141
30.56  139
71.24  99


This entry pairs a crystal structure of FeCuS2 with its calculated X-ray powder pattern. Radiation: CuKα. Structure: a PBE-relaxed structure.
Intensities are scaled so that the largest is 1000.

Cell and atoms:
Cell lengths 3.8057, 3.8057, 6.2531 Å; angles 90.00, 90.00, 120.00 degrees
Space group P3m1 (No. 156)
Asymmetric unit:
Fe 0.0000 0.0000 0.0000 (multiplicity 1)
Cu 0.3333 0.6667 0.7244 (multiplicity 1)
S 0.0000 0.0000 0.6366 (multiplicity 1)
S 0.3333 0.6667 0.1109 (multiplicity 1)

Principal peaks in the range 15° ≤ 2θ ≤ 90°, in order of falling intensity:
two_theta  I_rel
27.05  1000
39.74  858
47.80  748
51.90  497
30.66  400
50.11  275
28.55  235
66.54  216


This entry pairs a crystal structure of HoLuAg2 with its calculated X-ray powder pattern. Radiation: CuKα. Structure: a PBE-relaxed structure.
Intensities are scaled so that the largest is 1000.

Cell and atoms:
Cell lengths 7.1675, 7.1675, 7.1675 Å; angles 90.00, 90.00, 90.00 degrees
Space group Fm-3m (No. 225)
Asymmetric unit:
Ho 0.0000 0.0000 0.0000 (multiplicity 4)
Lu 0.0000 0.0000 0.5000 (multiplicity 4)
Ag 0.2500 0.2500 0.2500 (multiplicity 8)

Principal peaks in the range 15° ≤ 2θ ≤ 90°, in order of falling intensity:
two_theta  I_rel
35.42  1000
63.60  356
50.96  175
85.73  158
74.95  110
24.84  46
57.50  23
43.75  15


This entry pairs a crystal structure of SrLiAlSb2 with its calculated X-ray powder pattern. Radiation: CuKα. Structure: a PBE-relaxed structure.
Intensities are scaled so that the largest is 1000.

Cell and atoms:
Cell lengths 4.6002, 4.6002, 7.8313 Å; angles 90.00, 90.00, 120.00 degrees
Space group P3m1 (No. 156)
Asymmetric unit:
Sr 0.0000 0.0000 0.0000 (multiplicity 1)
Li 0.3333 0.6667 0.3404 (multiplicity 1)
Al 0.6667 0.3333 0.5771 (multiplicity 1)
Sb 0.3333 0.6667 0.7107 (multiplicity 1)
Sb 0.6667 0.3333 0.2407 (multiplicity 1)

Principal peaks in the range 15° ≤ 2θ ≤ 90°, in order of falling intensity:
two_theta  I_rel
25.08  1000
32.05  432
39.17  406
41.35  291
47.07  180
62.85  149
62.28  119
72.46  113


This entry pairs a crystal structure of EuGaGe with its calculated X-ray powder pattern. Radiation: CuKα. Structure: a PBE-relaxed structure.
Intensities are scaled so that the largest is 1000.

Cell and atoms:
Cell lengths 4.2982, 4.2982, 17.8679 Å; angles 90.00, 90.00, 120.00 degrees
Space group P6_3/mmc (No. 194)
Asymmetric unit:
Eu 0.0000 0.0000 0.0000 (multiplicity 2)
Eu 0.0000 0.0000 0.2500 (multiplicity 2)
Ga 0.3333 0.6667 0.1477 (multiplicity 4)
Ge 0.3333 0.6667 0.6125 (multiplicity 4)

Principal peaks in the range 15° ≤ 2θ ≤ 90°, in order of falling intensity:
two_theta  I_rel
31.28  1000
42.04  419
53.32  220
70.13  193
59.71  193
23.91  121
40.38  103
47.47  75